# 1
Tm2CdGe2: computed powder X-ray diffraction pattern (Cu Kα (λ = 1.5418 Å)), based on a cell relaxed with GGA-PBE.

Cell: 7.238 7.238 4.153 Å, 90.00 90.00 90.00°
Fractional positions:
1 Tm 0.177 0.323 0.000
2 Tm 0.323 0.823 0.000
3 Tm 0.677 0.177 0.000
4 Tm 0.823 0.677 0.000
5 Cd 0.000 0.000 0.500
6 Cd 0.500 0.500 0.500
7 Ge 0.123 0.623 0.500
8 Ge 0.377 0.123 0.500
9 Ge 0.623 0.877 0.500
10 Ge 0.877 0.377 0.500

Largest 8 diffraction maxima, by angle, 5 to 70 degrees two-theta:
2θ/deg  I (rel.)
27.56  12.4
32.82  47.6
35.14  100.0
39.37  30.6
43.59  18.7
56.94  18.0
58.49  11.7
60.17  17.3


# 2
ZnCd2Ge: computed powder X-ray diffraction pattern (Cu Kα (λ = 1.5418 Å)), based on a cell relaxed with GGA-PBE.

Cell: 4.876 4.876 4.876 Å, 60.00 60.00 60.00°
Fractional positions:
1 Zn 0.000 0.000 0.000
2 Cd 0.250 0.250 0.250
3 Cd 0.500 0.500 0.500
4 Ge 0.750 0.750 0.750

Largest 6 diffraction maxima, by angle, 5 to 70 degrees two-theta:
2θ/deg  I (rel.)
22.33  5.9
36.86  100.0
43.52  3.0
53.12  16.8
58.32  1.2
66.41  33.3


# 3
CdH2: computed powder X-ray diffraction pattern (Cu Kα (λ = 1.5418 Å)), based on a cell relaxed with GGA-PBE.

Cell: 5.875 5.875 5.875 Å, 60.00 60.00 60.00°
Fractional positions:
1 Cd 0.125 0.125 0.125
2 Cd 0.875 0.875 0.875
3 H 0.000 0.000 0.000
4 H 0.000 0.000 0.500
5 H 0.000 0.500 0.000
6 H 0.500 0.000 0.000

Largest 8 diffraction maxima, by angle, 5 to 70 degrees two-theta:
2θ/deg  I (rel.)
18.50  100.0
30.43  83.9
35.85  52.0
43.57  14.7
47.71  23.9
54.07  31.6
57.65  16.8
66.59  16.7


# 4
CdH2: computed powder X-ray diffraction pattern (Cu Kα (λ = 1.5418 Å)), based on a cell relaxed with GGA-PBE.

Cell: 5.300 6.696 5.127 Å, 90.00 90.00 90.00°
Fractional positions:
1 Cd 0.075 0.123 0.000
2 Cd 0.425 0.623 0.500
3 Cd 0.575 0.377 0.000
4 Cd 0.925 0.877 0.500
5 H 0.057 0.111 0.636
6 H 0.089 0.641 0.600
7 H 0.411 0.141 0.100
8 H 0.443 0.611 0.136
9 H 0.557 0.389 0.636
10 H 0.589 0.859 0.600
11 H 0.911 0.359 0.100
12 H 0.943 0.889 0.136

Largest 8 diffraction maxima, by angle, 5 to 70 degrees two-theta:
2θ/deg  I (rel.)
21.38  86.8
21.83  100.0
27.63  24.0
35.00  30.3
36.25  83.7
38.23  29.8
41.38  30.0
56.82  19.2


# 5
CdPH6NO5: computed powder X-ray diffraction pattern (Cu Kα (λ = 1.5418 Å)), based on a cell relaxed with GGA-PBE.

Cell: 17.284 5.737 4.934 Å, 90.00 90.00 90.00°
Fractional positions:
1 Cd 0.232 0.250 0.119
2 Cd 0.268 0.750 0.619
3 Cd 0.732 0.250 0.381
4 Cd 0.768 0.750 0.881
5 P 0.142 0.750 0.207
6 P 0.358 0.250 0.707
7 P 0.642 0.750 0.293
8 P 0.858 0.250 0.793
9 H 0.018 0.750 0.553
10 H 0.018 0.750 0.911
11 H 0.049 0.101 0.265
12 H 0.049 0.399 0.265
13 H 0.144 0.114 0.668
14 H 0.144 0.386 0.668
15 H 0.356 0.614 0.168
16 H 0.356 0.886 0.168
17 H 0.451 0.601 0.765
18 H 0.451 0.899 0.765
19 H 0.482 0.250 0.053
20 H 0.482 0.250 0.411
21 H 0.518 0.750 0.589
22 H 0.518 0.750 0.947
23 H 0.549 0.101 0.235
24 H 0.549 0.399 0.235
25 H 0.644 0.114 0.832
26 H 0.644 0.386 0.832
27 H 0.856 0.614 0.332
28 H 0.856 0.886 0.332
29 H 0.951 0.601 0.735
30 H 0.951 0.899 0.735
31 H 0.982 0.250 0.089
32 H 0.982 0.250 0.447
33 N 0.016 0.250 0.267
34 N 0.484 0.750 0.767
35 N 0.516 0.250 0.233
36 N 0.984 0.750 0.733
37 O 0.053 0.750 0.235
38 O 0.136 0.250 0.789
39 O 0.166 0.750 0.910
40 O 0.176 0.533 0.362
41 O 0.176 0.967 0.362
42 O 0.324 0.033 0.862
43 O 0.324 0.467 0.862
44 O 0.334 0.250 0.410
45 O 0.364 0.750 0.289
46 O 0.447 0.250 0.735
47 O 0.553 0.750 0.265
48 O 0.636 0.250 0.711
49 O 0.666 0.750 0.590
50 O 0.676 0.533 0.138
51 O 0.676 0.967 0.138
52 O 0.824 0.033 0.638
53 O 0.824 0.467 0.638
54 O 0.834 0.250 0.090
55 O 0.864 0.750 0.211
56 O 0.947 0.250 0.765

Largest 8 diffraction maxima, by angle, 5 to 70 degrees two-theta:
2θ/deg  I (rel.)
10.24  100.0
24.34  20.3
25.95  14.7
28.45  20.1
31.18  18.4
31.63  33.1
35.35  11.0
48.98  10.8